(1)
This entry pairs a crystal structure of Li4Mn5Ni2O12 with its calculated powder diffraction line list. Radiation: Cu Ka. Structure: a DFT-relaxed cell (GGA+U, Alexandria).

Structural model:
Lattice parameters (Å, degrees): 5.1919 8.9101 9.8239 90.00 100.63 90.00
Fractional coordinates of all 46 atoms:
Li: 0.9999 0.0000 0.2399
Li: 0.0001 0.5000 0.7601
Li: 0.0158 0.8378 0.7627
Li: 0.2508 0.9938 0.0059
Li: 0.4938 0.5117 0.2422
Li: 0.5062 0.0117 0.7578
Li: 0.7492 0.4938 0.9941
Li: 0.9842 0.3378 0.2373
Mn: 0.0141 0.1671 0.7599
Mn: 0.2436 0.5088 0.5018
Mn: 0.2556 0.3378 0.0001
Mn: 0.2592 0.8514 0.4976
Mn: 0.4912 0.1582 0.2407
Mn: 0.5088 0.6582 0.7593
Mn: 0.7408 0.3514 0.5024
Mn: 0.7444 0.8378 0.9999
Mn: 0.7564 0.0088 0.4982
Mn: 0.9859 0.6671 0.2401
Ni: 0.2531 0.6653 0.0052
Ni: 0.2562 0.1802 0.5078
Ni: 0.7438 0.6802 0.4922
Ni: 0.7469 0.1653 0.9948
O: 0.0847 0.8220 0.1170
O: 0.0932 0.3510 0.6051
O: 0.1342 0.4918 0.1171
O: 0.1402 0.0185 0.6334
O: 0.1472 0.1781 0.1261
O: 0.1617 0.6745 0.6253
O: 0.3351 0.6644 0.3773
O: 0.3498 0.1732 0.8829
O: 0.3601 0.0252 0.3776
O: 0.3624 0.4980 0.8897
O: 0.3874 0.3488 0.3963
O: 0.4004 0.8186 0.8775
O: 0.5996 0.3186 0.1225
O: 0.6126 0.8488 0.6037
O: 0.6376 0.9980 0.1103
O: 0.6399 0.5252 0.6224
O: 0.6502 0.6732 0.1171
O: 0.6649 0.1644 0.6227
O: 0.8383 0.1745 0.3747
O: 0.8528 0.6781 0.8739
O: 0.8598 0.5185 0.3666
O: 0.8658 0.9918 0.8829
O: 0.9068 0.8510 0.3949
O: 0.9153 0.3220 0.8830

Most intense lines, 2θ from 10° to 90°, by intensity:
two_theta	d_spacing	I (rel.)
43.00	2.103	100
18.38	4.828	33
23.40	3.801	25
62.07	1.495	18
62.85	1.479	17
37.06	2.426	16
19.93	4.455	16
20.69	4.294	12

***

(2)
This entry pairs a crystal structure of GaCo2O4 with its calculated powder diffraction line list. Radiation: Cu Ka. Structure: a DFT-relaxed cell (GGA+U, Alexandria).

Structural model:
Lattice parameters (Å, degrees): 5.9504 5.9504 10.2653 106.96 106.96 59.59
Fractional coordinates of all 28 atoms:
Ga: 0.0555 0.5630 0.6842
Ga: 0.4370 0.9445 0.8158
Ga: 0.5630 0.0555 0.1842
Ga: 0.9445 0.4370 0.3158
Co: 0.0000 0.0000 0.0000
Co: 0.0000 0.0000 0.5000
Co: 0.0000 0.5000 0.0000
Co: 0.2552 0.7448 0.2500
Co: 0.5000 0.0000 0.5000
Co: 0.5000 0.5000 0.0000
Co: 0.5000 0.5000 0.5000
Co: 0.7448 0.2552 0.7500
O: 0.1118 0.1406 0.8795
O: 0.1295 0.6159 0.8801
O: 0.1406 0.1118 0.3795
O: 0.1423 0.6258 0.3820
O: 0.3689 0.3801 0.1181
O: 0.3742 0.8577 0.1180
O: 0.3801 0.3689 0.6181
O: 0.3841 0.8705 0.6199
O: 0.6159 0.1295 0.3801
O: 0.6199 0.6311 0.3819
O: 0.6258 0.1423 0.8820
O: 0.6311 0.6199 0.8819
O: 0.8577 0.3742 0.6180
O: 0.8594 0.8882 0.6205
O: 0.8705 0.3841 0.1199
O: 0.8882 0.8594 0.1205

Most intense lines, 2θ from 10° to 90°, by intensity:
two_theta	d_spacing	I (rel.)
35.56	2.524	100
35.44	2.533	83
57.16	1.612	36
30.07	2.972	33
30.19	2.960	33
62.43	1.488	29
62.75	1.481	28
43.20	2.094	18